For Nd3Sc4Ga4, a DFT-relaxed cell (GGA-PBE, Alexandria) gives the calculated powder XRD pattern in this record (Cu Ka).
Lines closer than 0.1° are merged.

Peak list (6 most intense, 5 to 70 degrees two-theta, sorted by position)
d (Å)  2θ (°)  intensity
2.869  31.2  43
2.842  31.5  100
2.770  32.3  90
2.333  38.6  36
1.810  50.4  22
1.486  62.5  25

Crystal structure
```
data_Nd3Sc4Ga4
_space_group_name_H-M_alt 'I m m m'
_space_group_IT_number 71
_space_group_name_Hall '-I 2 2'
_cell_length_a 4.6663
_cell_length_b 7.3649
_cell_length_c 15.5722
_cell_angle_alpha 90.00
_cell_angle_beta 90.00
_cell_angle_gamma 90.00
loop_
_atom_site_label
_atom_site_type_symbol
_atom_site_fract_x
_atom_site_fract_y
_atom_site_fract_z
_atom_site_occupancy
Nd1 Nd 0.0000 0.0000 0.0000 1
Nd2 Nd 0.0000 0.5000 0.1138 1
Sc1 Sc 0.0000 0.2935 0.3266 1
Ga1 Ga 0.0000 0.0000 0.2070 1
Ga2 Ga 0.0000 0.1859 0.5000 1
```


For Na3Cd3In2, a DFT-relaxed cell (GGA-PBE, Alexandria) gives the calculated powder XRD pattern in this record (Cu Ka).
Lines closer than 0.1° are merged.

Peak list (6 most intense, 5 to 70 degrees two-theta, sorted by position)
d (Å)  2θ (°)  intensity
4.509  19.7  38
2.710  33.1  100
2.689  33.3  98
2.356  38.2  34
2.334  38.6  32
2.323  38.8  32

Crystal structure
```
data_Na3Cd3In2
_space_group_name_H-M_alt 'C 1 2/m 1'
_space_group_IT_number 12
_cell_length_a 19.2072
_cell_length_b 4.6461
_cell_length_c 4.7128
_cell_angle_alpha 90.00
_cell_angle_beta 103.51
_cell_angle_gamma 90.00
loop_
_space_group_symop_operation_xyz
'x,y,z'
'-x,-y,-z'
'-x,y,-z'
'x,-y,z'
'x+1/2,y+1/2,z'
'-x+1/2,-y+1/2,-z'
'-x+1/2,y+1/2,-z'
'x+1/2,-y+1/2,z'
loop_
_atom_site_label
_atom_site_type_symbol
_atom_site_fract_x
_atom_site_fract_y
_atom_site_fract_z
_atom_site_occupancy
Na1 Na 0.0000 0.0000 0.0000 1
Na2 Na 0.1255 0.0000 0.6265 1
Cd1 Cd 0.0000 0.5000 0.5000 1
Cd2 Cd 0.1292 0.5000 0.1304 1
In1 In 0.2483 0.0000 0.2487 1
```


For KAg5I8, a DFT-relaxed cell (GGA-PBE, Alexandria) gives the calculated powder XRD pattern in this record (Cu Ka).
Lines closer than 0.1° are merged.

Peak list (6 most intense, 5 to 70 degrees two-theta, sorted by position)
d (Å)  2θ (°)  intensity
7.375  12.0  33
3.851  23.1  33
3.687  24.1  30
3.193  27.9  91
2.458  36.6  41
2.258  39.9  100

Crystal structure
```
data_KAg5I8
_space_group_name_H-M_alt 'F -4 3 m'
_space_group_IT_number 216
_space_group_name_Hall 'F -4 2 3'
_cell_length_a 12.7737
_cell_length_b 12.7737
_cell_length_c 12.7737
_cell_angle_alpha 90.00
_cell_angle_beta 90.00
_cell_angle_gamma 90.00
loop_
_atom_site_label
_atom_site_type_symbol
_atom_site_fract_x
_atom_site_fract_y
_atom_site_fract_z
_atom_site_occupancy
K1 K 0.0000 0.0000 0.0000 1
Ag1 Ag 0.1237 0.1237 0.3763 1
Ag2 Ag 0.2500 0.2500 0.7500 1
I1 I 0.1173 0.1173 0.6173 1
I2 I 0.1427 0.1427 0.1427 1
```


For NbRhSe3, a DFT-relaxed cell (GGA-PBE, Alexandria) gives the calculated powder XRD pattern in this record (Cu Ka).
Lines closer than 0.1° are merged.

Peak list (6 most intense, 5 to 70 degrees two-theta, sorted by position)
d (Å)  2θ (°)  intensity
6.463  13.7  72
3.277  27.2  100
3.099  28.8  49
2.405  37.4  64
2.305  39.1  63
1.999  45.4  56

Crystal structure
```
data_NbRhSe3
_space_group_name_H-M_alt 'P 1 21/m 1'
_space_group_IT_number 11
_cell_length_a 7.2795
_cell_length_b 3.5309
_cell_length_c 9.2106
_cell_angle_alpha 90.00
_cell_angle_beta 107.17
_cell_angle_gamma 90.00
loop_
_space_group_symop_operation_xyz
'x,y,z'
'-x,-y,-z'
'-x,y+1/2,-z'
'x,-y+1/2,z'
loop_
_atom_site_label
_atom_site_type_symbol
_atom_site_fract_x
_atom_site_fract_y
_atom_site_fract_z
_atom_site_occupancy
Nb1 Nb 0.2271 0.2500 0.4860 1
Rh1 Rh 0.3715 0.2500 0.8168 1
Se1 Se 0.0208 0.2500 0.6761 1
Se2 Se 0.3132 0.7500 0.9818 1
Se3 Se 0.4073 0.7500 0.3546 1
```


For PrY3Ga4, a DFT-relaxed cell (GGA-PBE, Alexandria) gives the calculated powder XRD pattern in this record (Cu Ka).
Lines closer than 0.1° are merged.

Peak list (6 most intense, 5 to 70 degrees two-theta, sorted by position)
d (Å)  2θ (°)  intensity
4.176  21.3  1
3.617  24.6  4
2.557  35.1  100
1.808  50.5  17
1.617  56.9  1
1.476  63.0  35

Crystal structure
```
data_PrY3Ga4
_space_group_name_H-M_alt 'P 4/m m m'
_space_group_IT_number 123
_space_group_name_Hall '-P 4 2'
_cell_length_a 5.1160
_cell_length_b 5.1160
_cell_length_c 7.2294
_cell_angle_alpha 90.00
_cell_angle_beta 90.00
_cell_angle_gamma 90.00
loop_
_atom_site_label
_atom_site_type_symbol
_atom_site_fract_x
_atom_site_fract_y
_atom_site_fract_z
_atom_site_occupancy
Pr1 Pr 0.0000 0.0000 0.0000 1
Y1 Y 0.0000 0.0000 0.5000 1
Y2 Y 0.5000 0.5000 0.0000 1
Y3 Y 0.5000 0.5000 0.5000 1
Ga1 Ga 0.0000 0.5000 0.2586 1
```


For La2Nd2Tm5, a DFT-relaxed cell (GGA-PBE, Alexandria) gives the calculated powder XRD pattern in this record (Cu Ka).
Lines closer than 0.1° are merged.

Peak list (6 most intense, 5 to 70 degrees two-theta, sorted by position)
d (Å)  2θ (°)  intensity
3.255  27.4  55
2.917  30.6  100
2.896  30.9  84
2.813  31.8  74
2.641  34.0  73
2.462  36.5  74

Crystal structure
```
data_La2Nd2Tm5
_space_group_name_H-M_alt 'C 1 2/m 1'
_space_group_IT_number 12
_cell_length_a 17.7041
_cell_length_b 3.4860
_cell_length_c 9.8209
_cell_angle_alpha 90.00
_cell_angle_beta 98.71
_cell_angle_gamma 90.00
loop_
_space_group_symop_operation_xyz
'x,y,z'
'-x,-y,-z'
'-x,y,-z'
'x,-y,z'
'x+1/2,y+1/2,z'
'-x+1/2,-y+1/2,-z'
'-x+1/2,y+1/2,-z'
'x+1/2,-y+1/2,z'
loop_
_atom_site_label
_atom_site_type_symbol
_atom_site_fract_x
_atom_site_fract_y
_atom_site_fract_z
_atom_site_occupancy
La1 La 0.1659 0.0000 0.2183 1
Nd1 Nd 0.0051 0.5000 0.6880 1
Tm1 Tm 0.0000 0.0000 0.0000 1
Tm2 Tm 0.1715 0.5000 0.5409 1
Tm3 Tm 0.1718 0.0000 0.8625 1
```